This entry pairs a crystal structure of Li2Al3Zn4 with its theoretical PXRD pattern. Radiation: Cu Kα (weighted mean of Kα1 and Kα2). Structure: a DFT-relaxed cell (PBE, Alexandria).
Intensities are scaled so that the largest is 100.

Atomic structure:
Unit cell a=3.9414 b=4.7344 c=8.5712 alpha=74.12 beta=89.50 gamma=65.42
Element x y z (fractional)
1 Li 0.1667 0.1649 0.2173
2 Li 0.8333 0.8351 0.7827
3 Al 0.1658 0.1682 0.5631
4 Al 0.5000 0.5000 0.0000
5 Al 0.8342 0.8318 0.4369
6 Zn 0.1659 0.1680 0.8895
7 Zn 0.4966 0.5108 0.6672
8 Zn 0.5034 0.4892 0.3328
9 Zn 0.8341 0.8320 0.1105

Most intense lines, 2θ = 5–70°, in order of falling intensity:
38.79 deg, I = 100; 39.12 deg, I = 96; 40.01 deg, I = 90; 40.13 deg, I = 89; 21.11 deg, I = 79; 45.01 deg, I = 64; 46.06 deg, I = 60; 46.77 deg, I = 56; 25.76 deg, I = 56; 28.75 deg, I = 45

***

This entry pairs a crystal structure of Li6Al7Zn16 with its theoretical PXRD pattern. Radiation: Cu Kα (weighted mean of Kα1 and Kα2). Structure: a DFT-relaxed cell (PBE, Alexandria).
Intensities are scaled so that the largest is 100.

Atomic structure:
Unit cell a=8.8300 b=8.8300 c=8.8300 alpha=60.00 beta=60.00 gamma=60.00
Element x y z (fractional)
1 Li 0.2130 0.2130 0.7870
2 Li 0.2130 0.7870 0.2130
3 Li 0.2130 0.7870 0.7870
4 Li 0.7870 0.2130 0.2130
5 Li 0.7870 0.2130 0.7870
6 Li 0.7870 0.7870 0.2130
7 Al 0.0000 0.0000 0.5000
8 Al 0.0000 0.5000 0.0000
9 Al 0.0000 0.5000 0.5000
10 Al 0.5000 0.0000 0.0000
11 Al 0.5000 0.0000 0.5000
12 Al 0.5000 0.5000 0.0000
13 Al 0.5000 0.5000 0.5000
14 Zn 0.1343 0.6219 0.6219
15 Zn 0.1626 0.1626 0.1626
16 Zn 0.1626 0.1626 0.5121
17 Zn 0.1626 0.5121 0.1626
18 Zn 0.3781 0.3781 0.3781
19 Zn 0.3781 0.3781 0.8657
20 Zn 0.3781 0.8657 0.3781
21 Zn 0.4879 0.8374 0.8374
22 Zn 0.5121 0.1626 0.1626
23 Zn 0.6219 0.1343 0.6219
24 Zn 0.6219 0.6219 0.1343
25 Zn 0.6219 0.6219 0.6219
26 Zn 0.8374 0.4879 0.8374
27 Zn 0.8374 0.8374 0.4879
28 Zn 0.8374 0.8374 0.8374
29 Zn 0.8657 0.3781 0.3781

Most intense lines, 2θ = 5–70°, in order of falling intensity:
40.88 deg, I = 100; 28.59 deg, I = 66; 14.18 deg, I = 48; 42.84 deg, I = 44; 37.42 deg, I = 39; 12.28 deg, I = 32; 47.76 deg, I = 19; 68.45 deg, I = 18; 45.96 deg, I = 12; 43.48 deg, I = 12

***

This entry pairs a crystal structure of Li4AlZn2 with its theoretical PXRD pattern. Radiation: Cu Kα (weighted mean of Kα1 and Kα2). Structure: a DFT-relaxed cell (PBE, Alexandria).
Intensities are scaled so that the largest is 100.

Atomic structure:
Unit cell a=5.5899 b=5.5899 c=5.3640 alpha=117.81 beta=117.81 gamma=57.35
Element x y z (fractional)
1 Li 0.2248 0.2248 0.0140
2 Li 0.3318 0.1915 0.5431
3 Li 0.7752 0.7752 0.9860
4 Li 0.8085 0.6682 0.4569
5 Al 0.2911 0.7089 0.5000
6 Zn 0.3128 0.6872 0.0000
7 Zn 0.7870 0.2130 0.5000

Most intense lines, 2θ = 5–70°, in order of falling intensity:
21.39 deg, I = 100; 23.46 deg, I = 92; 33.41 deg, I = 65; 40.02 deg, I = 60; 31.75 deg, I = 44; 32.16 deg, I = 44; 47.97 deg, I = 34; 39.68 deg, I = 32; 40.36 deg, I = 29; 43.58 deg, I = 24

***

This entry pairs a crystal structure of LiAl3Zn with its theoretical PXRD pattern. Radiation: Cu Kα (weighted mean of Kα1 and Kα2). Structure: a DFT-relaxed cell (PBE, Alexandria).
Intensities are scaled so that the largest is 100.

Atomic structure:
Unit cell a=6.8288 b=6.8288 c=6.8288 alpha=90.00 beta=90.00 gamma=90.00
Element x y z (fractional)
1 Li 0.0596 0.0596 0.0596
2 Li 0.4404 0.9404 0.5596
3 Li 0.5596 0.4404 0.9404
4 Li 0.9404 0.5596 0.4404
5 Al 0.0539 0.8797 0.7001
6 Al 0.1203 0.2001 0.4461
7 Al 0.2001 0.4461 0.1203
8 Al 0.2999 0.5539 0.6203
9 Al 0.3797 0.7999 0.9461
10 Al 0.4461 0.1203 0.2001
11 Al 0.5539 0.6203 0.2999
12 Al 0.6203 0.2999 0.5539
13 Al 0.7001 0.0539 0.8797
14 Al 0.7999 0.9461 0.3797
15 Al 0.8797 0.7001 0.0539
16 Al 0.9461 0.3797 0.7999
17 Zn 0.1950 0.8050 0.3050
18 Zn 0.3050 0.1950 0.8050
19 Zn 0.6950 0.6950 0.6950
20 Zn 0.8050 0.3050 0.1950

Most intense lines, 2θ = 5–70°, in order of falling intensity:
39.59 deg, I = 100; 41.83 deg, I = 66; 22.55 deg, I = 48; 43.98 deg, I = 40; 26.10 deg, I = 33; 29.24 deg, I = 29; 49.97 deg, I = 25; 55.48 deg, I = 11; 32.11 deg, I = 11; 68.73 deg, I = 9

***

This entry pairs a crystal structure of Li17AlZn11 with its theoretical PXRD pattern. Radiation: Cu Kα (weighted mean of Kα1 and Kα2). Structure: a DFT-relaxed cell (PBE, Alexandria).
Intensities are scaled so that the largest is 100.

Atomic structure:
Unit cell a=8.5084 b=8.5084 c=8.4013 alpha=109.22 beta=109.22 gamma=109.70
Element x y z (fractional)
1 Li 0.0000 0.0000 0.0000
2 Li 0.0012 0.0012 0.6420
3 Li 0.0005 0.3167 0.2312
4 Li 0.0009 0.3532 0.6396
5 Li 0.2794 0.6880 0.3287
6 Li 0.3131 0.5934 0.6416
7 Li 0.3167 0.0005 0.2312
8 Li 0.3532 0.0009 0.6396
9 Li 0.4070 0.7217 0.0495
10 Li 0.4087 0.4087 0.3649
11 Li 0.5883 0.9989 0.9549
12 Li 0.5934 0.3131 0.6416
13 Li 0.6454 0.6454 0.2840
14 Li 0.6862 0.6862 0.9170
15 Li 0.6880 0.2794 0.3287
16 Li 0.7217 0.4070 0.0495
17 Li 0.9989 0.5883 0.9549
18 Al 0.3704 0.3704 0.8244
19 Zn 0.0002 0.6303 0.4530
20 Zn 0.0000 0.8121 0.2684
21 Zn 0.1801 0.3678 0.0118
22 Zn 0.1834 0.1834 0.4548
23 Zn 0.1835 0.8160 0.8275
24 Zn 0.3678 0.1801 0.0118
25 Zn 0.6303 0.0002 0.4530
26 Zn 0.6303 0.8117 0.6410
27 Zn 0.8121 0.0000 0.2684
28 Zn 0.8117 0.6303 0.6410
29 Zn 0.8160 0.1835 0.8275

Most intense lines, 2θ = 5–70°, in order of falling intensity:
22.18 deg, I = 100; 22.41 deg, I = 46; 43.15 deg, I = 40; 39.00 deg, I = 24; 12.72 deg, I = 22; 47.42 deg, I = 20; 43.75 deg, I = 19; 43.27 deg, I = 18; 38.87 deg, I = 17; 56.37 deg, I = 14

***

This entry pairs a crystal structure of Li12AlZn2 with its theoretical PXRD pattern. Radiation: Cu Kα (weighted mean of Kα1 and Kα2). Structure: a DFT-relaxed cell (PBE, Alexandria).
Intensities are scaled so that the largest is 100.

Atomic structure:
Unit cell a=2.7558 b=4.9444 c=19.2052 alpha=90.00 beta=90.00 gamma=90.00
Element x y z (fractional)
1 Li 0.0000 0.0000 0.0723
2 Li 0.0000 0.0000 0.9277
3 Li 0.0000 0.2412 0.5000
4 Li 0.0000 0.7588 0.5000
5 Li 0.5000 0.0000 0.2166
6 Li 0.5000 0.0000 0.3528
7 Li 0.5000 0.0000 0.6472
8 Li 0.5000 0.0000 0.7834
9 Li 0.5000 0.5000 0.1316
10 Li 0.5000 0.5000 0.3826
11 Li 0.5000 0.5000 0.6174
12 Li 0.5000 0.5000 0.8684
13 Al 0.0000 0.5000 0.0000
14 Zn 0.0000 0.5000 0.2617
15 Zn 0.0000 0.5000 0.7383

Most intense lines, 2θ = 5–70°, in order of falling intensity:
9.21 deg, I = 100; 17.94 deg, I = 53; 18.48 deg, I = 44; 25.87 deg, I = 38; 20.20 deg, I = 37; 37.61 deg, I = 35; 41.99 deg, I = 32; 38.56 deg, I = 21; 37.48 deg, I = 21; 37.36 deg, I = 17

***

This entry pairs a crystal structure of Li8Al2Zn with its theoretical PXRD pattern. Radiation: Cu Kα (weighted mean of Kα1 and Kα2). Structure: a DFT-relaxed cell (PBE, Alexandria).
Intensities are scaled so that the largest is 100.

Atomic structure:
Unit cell a=6.7321 b=6.7321 c=4.6197 alpha=90.06 beta=90.06 gamma=105.81
Element x y z (fractional)
1 Li 0.1645 0.1645 0.9997
2 Li 0.2028 0.4675 0.4989
3 Li 0.2492 0.7508 0.0000
4 Li 0.4675 0.2028 0.4989
5 Li 0.5325 0.7972 0.5011
6 Li 0.7508 0.2492 0.0000
7 Li 0.7972 0.5325 0.5011
8 Li 0.8355 0.8355 0.0003
9 Al 0.1177 0.8823 0.5000
10 Al 0.8823 0.1177 0.5000
11 Zn 0.5000 0.5000 0.0000

Most intense lines, 2θ = 5–70°, in order of falling intensity:
23.66 deg, I = 100; 39.49 deg, I = 47; 21.89 deg, I = 46; 38.79 deg, I = 37; 16.51 deg, I = 33; 27.22 deg, I = 29; 44.98 deg, I = 25; 25.43 deg, I = 20; 41.84 deg, I = 19; 38.99 deg, I = 19

***

This entry pairs a crystal structure of LiZrAl with its theoretical PXRD pattern. Radiation: Cu Kα (weighted mean of Kα1 and Kα2). Structure: a DFT-relaxed cell (PBE, Alexandria).
Intensities are scaled so that the largest is 100.

Atomic structure:
Unit cell a=3.1732 b=4.4003 c=8.1769 alpha=90.00 beta=90.00 gamma=90.00
Element x y z (fractional)
1 Li 0.2500 0.2500 0.0379
2 Li 0.7500 0.7500 0.9621
3 Zr 0.2500 0.7500 0.6118
4 Zr 0.7500 0.2500 0.3882
5 Al 0.2500 0.7500 0.2488
6 Al 0.7500 0.2500 0.7512

Most intense lines, 2θ = 5–70°, in order of falling intensity:
10.82 deg, I = 100; 34.86 deg, I = 37; 29.83 deg, I = 35; 36.60 deg, I = 28; 38.87 deg, I = 25; 35.82 deg, I = 23; 43.78 deg, I = 16; 41.02 deg, I = 14; 55.58 deg, I = 13; 61.55 deg, I = 11